Entry 1:
Simulated powder XRD pattern
Compound: YScMn
Radiation: λ = 1.5418 Å (Cu Kα)
Structure: the GGA-PBE geometry in Alexandria
Intensities are scaled so that the largest is 1000.

Most intense lines, 10 to 90 degrees two-theta, low angle first:
Position (°2θ)	I/Imax
28.9	792
32.3	1000
34.5	725
37.5	596
39.4	604
42.3	976

Structural model:
Lattice parameters (Å, degrees): 6.7346 6.7346 7.4344 90.00 90.00 124.56
Fractional positions:
1 Y 0.1926 0.8074 0.8950
2 Y 0.3074 0.6926 0.3950
3 Y 0.6926 0.3074 0.6050
4 Y 0.8074 0.1926 0.1050
5 Sc 0.2015 0.2985 0.7500
6 Sc 0.2985 0.2015 0.2500
7 Sc 0.7015 0.7985 0.7500
8 Sc 0.7985 0.7015 0.2500
9 Mn 0.0926 0.9074 0.5493
10 Mn 0.4074 0.5926 0.0493
11 Mn 0.5926 0.4074 0.9507
12 Mn 0.9074 0.0926 0.4507

Entry 2:
Simulated powder XRD pattern
Compound: Sc6MnZn5
Radiation: λ = 1.5418 Å (Cu Kα)
Structure: the GGA-PBE geometry in Alexandria
Intensities are scaled so that the largest is 1000.

Most intense lines, 10 to 90 degrees two-theta, low angle first:
Position (°2θ)	I/Imax
38.3	1000
38.5	250
38.6	243
55.7	155
69.1	149
69.5	152

Structural model:
Lattice parameters (Å, degrees): 8.0999 8.0999 8.0999 146.44 131.23 60.51
Fractional positions:
1 Sc 0.0809 0.3405 0.7405
2 Sc 0.2327 0.0000 0.2327
3 Sc 0.4000 0.6595 0.7405
4 Sc 0.6000 0.3405 0.2595
5 Sc 0.7673 0.0000 0.7673
6 Sc 0.9191 0.6595 0.2595
7 Mn 0.0000 0.5000 0.5000
8 Zn 0.1698 0.1698 0.0000
9 Zn 0.3334 0.8334 0.5000
10 Zn 0.5000 0.5000 0.0000
11 Zn 0.6666 0.1666 0.5000
12 Zn 0.8302 0.8302 0.0000

Entry 3:
Simulated powder XRD pattern
Compound: MnSe3
Radiation: λ = 1.5418 Å (Cu Kα)
Structure: the GGA-PBE geometry in Alexandria
Intensities are scaled so that the largest is 1000.

Most intense lines, 10 to 90 degrees two-theta, low angle first:
Position (°2θ)	I/Imax
28.1	1000
28.7	394
29.0	857
41.8	575
47.8	521
49.2	549

Structural model:
Lattice parameters (Å, degrees): 3.7023 3.7023 8.1135 102.55 102.55 59.70
Fractional positions:
1 Mn 0.0000 0.0000 0.0000
2 Se 0.3891 0.3891 0.1766
3 Se 0.5000 0.5000 0.5000
4 Se 0.6109 0.6109 0.8234

Entry 4:
Simulated powder XRD pattern
Compound: Mn4Se3
Radiation: λ = 1.5418 Å (Cu Kα)
Structure: the GGA-PBE geometry in Alexandria
Intensities are scaled so that the largest is 1000.

Most intense lines, 10 to 90 degrees two-theta, low angle first:
Position (°2θ)	I/Imax
24.7	233
38.4	1000
39.9	483
46.8	802
55.5	325
75.4	364

Structural model:
Lattice parameters (Å, degrees): 11.0461 11.0461 11.0461 162.75 162.75 24.49
Fractional positions:
1 Mn 0.0600 0.0600 0.0000
2 Mn 0.3713 0.3713 0.0000
3 Mn 0.6287 0.6287 0.0000
4 Mn 0.9400 0.9400 0.0000
5 Se 0.1746 0.1746 0.0000
6 Se 0.5000 0.5000 0.0000
7 Se 0.8254 0.8254 0.0000

Entry 5:
Simulated powder XRD pattern
Compound: Mn2Se3
Radiation: λ = 1.5418 Å (Cu Kα)
Structure: the GGA-PBE geometry in Alexandria
Intensities are scaled so that the largest is 1000.

Most intense lines, 10 to 90 degrees two-theta, low angle first:
Position (°2θ)	I/Imax
29.7	214
34.1	1000
48.1	385
49.8	335
61.7	167
83.2	142

Structural model:
Lattice parameters (Å, degrees): 3.6610 3.6610 9.4280 90.00 90.00 120.00
Fractional positions:
1 Mn 0.3333 0.6667 0.3246
2 Mn 0.6667 0.3333 0.6754
3 Se 0.0000 0.0000 0.5000
4 Se 0.3333 0.6667 0.8162
5 Se 0.6667 0.3333 0.1838

Entry 6:
Simulated powder XRD pattern
Compound: MnSe3
Radiation: λ = 1.5418 Å (Cu Kα)
Structure: the GGA-PBE geometry in Alexandria
Intensities are scaled so that the largest is 1000.

Most intense lines, 10 to 90 degrees two-theta, low angle first:
Position (°2θ)	I/Imax
30.1	268
31.4	1000
36.7	410
45.9	226
52.1	231
65.1	174

Structural model:
Lattice parameters (Å, degrees): 5.0026 3.5346 5.0406 90.00 107.51 90.00
Fractional positions:
1 Mn 0.0000 0.0000 0.0000
2 Se 0.1651 0.5000 0.3618
3 Se 0.5000 0.0000 0.0000
4 Se 0.8349 0.5000 0.6382

Entry 7:
Simulated powder XRD pattern
Compound: MnTlSiSe4
Radiation: λ = 1.5418 Å (Cu Kα)
Structure: the GGA-PBE geometry in Alexandria
Intensities are scaled so that the largest is 1000.

Most intense lines, 10 to 90 degrees two-theta, low angle first:
Position (°2θ)	I/Imax
21.2	271
22.0	367
25.5	286
29.2	1000
30.8	438
34.5	257

Structural model:
Lattice parameters (Å, degrees): 6.4361 6.9739 8.3243 90.00 93.37 90.00
Fractional positions:
1 Mn 0.1763 0.2500 0.4503
2 Mn 0.8237 0.7500 0.5497
3 Tl 0.2300 0.7500 0.0643
4 Tl 0.7700 0.2500 0.9357
5 Si 0.3356 0.7500 0.6542
6 Si 0.6644 0.2500 0.3458
7 Se 0.0971 0.5064 0.6903
8 Se 0.0971 0.9936 0.6903
9 Se 0.3698 0.2500 0.1806
10 Se 0.4665 0.7500 0.4089
11 Se 0.5335 0.2500 0.5911
12 Se 0.6302 0.7500 0.8194
13 Se 0.9029 0.0064 0.3097
14 Se 0.9029 0.4936 0.3097

Entry 8:
Simulated powder XRD pattern
Compound: Sm2TmMnSe6
Radiation: λ = 1.5418 Å (Cu Kα)
Structure: the GGA-PBE geometry in Alexandria
Intensities are scaled so that the largest is 1000.

Most intense lines, 10 to 90 degrees two-theta, low angle first:
Position (°2θ)	I/Imax
17.2	421
23.9	607
28.9	862
34.9	533
38.4	1000
44.1	664

Structural model:
Lattice parameters (Å, degrees): 7.4686 7.4686 7.4686 56.92 56.92 56.92
Fractional positions:
1 Sm 0.0000 0.0000 0.0000
2 Sm 0.4994 0.4994 0.4994
3 Tm 0.2011 0.2011 0.2011
4 Mn 0.6992 0.6992 0.6992
5 Se 0.0603 0.4402 0.8199
6 Se 0.3373 0.9196 0.5799
7 Se 0.4402 0.8199 0.0603
8 Se 0.5799 0.3373 0.9196
9 Se 0.8199 0.0603 0.4402
10 Se 0.9196 0.5799 0.3373

Entry 9:
Simulated powder XRD pattern
Compound: Mn2SnSe4
Radiation: λ = 1.5418 Å (Cu Kα)
Structure: the GGA-PBE geometry in Alexandria
Intensities are scaled so that the largest is 1000.

Most intense lines, 10 to 90 degrees two-theta, low angle first:
Position (°2θ)	I/Imax
28.5	1000
33.2	270
34.9	151
37.6	254
42.0	351
43.2	217

Structural model:
Lattice parameters (Å, degrees): 8.1484 8.1484 8.1484 127.30 127.30 77.76
Fractional positions:
1 Mn 0.0000 0.0000 0.0000
2 Mn 0.5000 0.0000 0.0000
3 Mn 0.5000 0.0000 0.5000
4 Mn 0.5000 0.5000 0.5000
5 Sn 0.1250 0.3750 0.7500
6 Sn 0.8750 0.6250 0.2500
7 Se 0.1416 0.0509 0.8322
8 Se 0.1905 0.3584 0.4092
9 Se 0.2813 0.6905 0.3322
10 Se 0.4491 0.7813 0.0908
11 Se 0.5509 0.2187 0.9092
12 Se 0.7187 0.3095 0.6678
13 Se 0.8095 0.6416 0.5908
14 Se 0.8584 0.9491 0.1678

Entry 10:
Simulated powder XRD pattern
Compound: SrMnSe2
Radiation: λ = 1.5418 Å (Cu Kα)
Structure: the GGA-PBE geometry in Alexandria
Intensities are scaled so that the largest is 1000.

Most intense lines, 10 to 90 degrees two-theta, low angle first:
Position (°2θ)	I/Imax
24.5	573
30.8	1000
36.9	656
40.6	269
47.8	266
51.8	259

Structural model:
Lattice parameters (Å, degrees): 4.4401 6.6325 6.6325 35.30 90.00 90.00
Fractional positions:
1 Sr 0.0000 0.0000 0.0000
2 Mn 0.5000 0.7752 0.7752
3 Se 0.0000 0.6838 0.6838
4 Se 0.5000 0.4097 0.4097

Entry 11:
Simulated powder XRD pattern
Compound: Sr2UMnSe6
Radiation: λ = 1.5418 Å (Cu Kα)
Structure: the GGA-PBE geometry in Alexandria
Intensities are scaled so that the largest is 1000.

Most intense lines, 10 to 90 degrees two-theta, low angle first:
Position (°2θ)	I/Imax
17.2	820
29.2	771
29.4	679
34.9	1000
35.2	743
38.0	649

Structural model:
Lattice parameters (Å, degrees): 7.0369 7.5518 12.2909 90.00 123.81 90.00
Fractional positions:
1 Sr 0.2151 0.0874 0.2451
2 Sr 0.2151 0.4126 0.7451
3 Sr 0.7849 0.5874 0.2549
4 Sr 0.7849 0.9126 0.7549
5 U 0.5000 0.0000 0.0000
6 U 0.5000 0.5000 0.5000
7 Mn 0.0000 0.0000 0.5000
8 Mn 0.0000 0.5000 0.0000
9 Se 0.1384 0.1969 0.9504
10 Se 0.1384 0.3031 0.4504
11 Se 0.2599 0.6922 0.9509
12 Se 0.2599 0.8078 0.4509
13 Se 0.3435 0.0169 0.7438
14 Se 0.3435 0.4831 0.2438
15 Se 0.6565 0.5169 0.7562
16 Se 0.6565 0.9831 0.2562
17 Se 0.7401 0.1922 0.5491
18 Se 0.7401 0.3078 0.0491
19 Se 0.8616 0.6969 0.5496
20 Se 0.8616 0.8031 0.0496

Entry 12:
Simulated powder XRD pattern
Compound: SrZrMnSe4
Radiation: λ = 1.5418 Å (Cu Kα)
Structure: the GGA-PBE geometry in Alexandria
Intensities are scaled so that the largest is 1000.

Most intense lines, 10 to 90 degrees two-theta, low angle first:
Position (°2θ)	I/Imax
24.8	464
28.6	807
32.6	991
33.3	1000
33.8	459
34.1	429

Structural model:
Lattice parameters (Å, degrees): 6.6072 7.1748 8.2093 90.00 106.70 90.00
Fractional positions:
1 Sr 0.1989 0.2500 0.0448
2 Sr 0.8011 0.7500 0.9552
3 Zr 0.2123 0.2500 0.5516
4 Zr 0.7877 0.7500 0.4484
5 Mn 0.2533 0.7500 0.3346
6 Mn 0.7467 0.2500 0.6654
7 Se 0.0160 0.5081 0.7122
8 Se 0.0160 0.9919 0.7122
9 Se 0.4747 0.7500 0.1470
10 Se 0.4992 0.7500 0.6130
11 Se 0.5008 0.2500 0.3870
12 Se 0.5253 0.2500 0.8530
13 Se 0.9840 0.0081 0.2878
14 Se 0.9840 0.4919 0.2878

Repeat the fourth record exactly.
Simulated powder XRD pattern
Compound: Mn4Se3
Radiation: λ = 1.5418 Å (Cu Kα)
Structure: the GGA-PBE geometry in Alexandria
Intensities are scaled so that the largest is 1000.

Most intense lines, 10 to 90 degrees two-theta, low angle first:
Position (°2θ)	I/Imax
24.7	233
38.4	1000
39.9	483
46.8	802
55.5	325
75.4	364

Structural model:
Lattice parameters (Å, degrees): 11.0461 11.0461 11.0461 162.75 162.75 24.49
Fractional positions:
1 Mn 0.0600 0.0600 0.0000
2 Mn 0.3713 0.3713 0.0000
3 Mn 0.6287 0.6287 0.0000
4 Mn 0.9400 0.9400 0.0000
5 Se 0.1746 0.1746 0.0000
6 Se 0.5000 0.5000 0.0000
7 Se 0.8254 0.8254 0.0000

Question: Number 2 is which compound?
Answer: Sc6MnZn5